The following is a computed PXRD pattern of CsNaScI6. It was derived from a cell relaxed with GGA-PBE, using CuKα.
Neutral-atom scattering factors, no anomalous dispersion.

Structure:
```
CsNaScI6
1.0
3.922 -6.814 0.000
3.922 6.814 0.000
-0.005 0.000 8.843
Cs Na Sc I
1 1 1 6
Direct
0.000 0.000 0.000
0.666 0.334 0.500
0.333 0.667 0.500
0.031 0.371 0.309
0.033 0.661 0.692
0.339 0.967 0.308
0.340 0.373 0.692
0.627 0.660 0.308
0.629 0.969 0.691
```

Largest 12 diffraction maxima, by angle, 15 to 90 degrees two-theta:
2theta  I_rel
16.44  27
20.08  10
24.80  100
30.40  55
30.47  21
36.38  15
38.17  12
39.74  27
40.50  8
47.17  19
47.37  8
50.81  23

---

The following is a computed PXRD pattern of Ba4NaSr8. It was derived from a cell relaxed with GGA-PBE, using CuKα.
Neutral-atom scattering factors, no anomalous dispersion.

Structure:
```
Ba4NaSr8
1.0
5.902 -3.409 0.000
5.902 3.409 0.000
-3.971 0.000 18.064
Ba Na Sr
4 1 8
Direct
0.115 0.115 0.343
0.347 0.347 0.040
0.653 0.653 0.960
0.885 0.885 0.657
0.500 0.500 0.500
0.039 0.039 0.115
0.190 0.190 0.573
0.267 0.267 0.803
0.426 0.426 0.276
0.574 0.574 0.724
0.733 0.733 0.197
0.810 0.810 0.427
0.961 0.961 0.885
```

Largest 12 diffraction maxima, by angle, 15 to 90 degrees two-theta:
2theta  I_rel
16.38  4
26.16  100
37.33  19
46.15  38
46.22  3
53.82  13
60.78  15
60.88  3
67.30  3
73.53  16
73.64  5
85.46  7

---

The following is a computed PXRD pattern of Ac2In2Pd3. It was derived from a cell relaxed with GGA-PBE, using CuKα.
Neutral-atom scattering factors, no anomalous dispersion.

Structure:
```
Ac2In2Pd3
1.0
14.093 0.000 0.000
0.000 4.619 0.000
-0.527 0.000 5.694
Ac In Pd
4 4 6
Direct
0.139 0.000 0.125
0.361 0.500 0.875
0.639 0.500 0.125
0.861 0.000 0.875
0.107 0.500 0.622
0.393 0.000 0.378
0.607 0.000 0.622
0.893 0.500 0.378
0.000 0.500 0.000
0.228 0.000 0.639
0.272 0.500 0.361
0.500 0.000 0.000
0.728 0.500 0.639
0.772 0.000 0.361
```

Largest 12 diffraction maxima, by angle, 15 to 90 degrees two-theta:
2theta  I_rel
19.15  16
25.27  36
27.13  49
32.32  100
32.84  50
35.09  18
38.17  24
39.00  42
39.61  68
43.15  17
51.88  28
53.15  22

---

The following is a computed PXRD pattern of Ti2Ge3Mo. It was derived from a cell relaxed with GGA-PBE, using CuKα.
Neutral-atom scattering factors, no anomalous dispersion.

Structure:
```
Ti2Ge3Mo
1.0
3.153 -5.468 0.000
3.153 5.468 0.000
-2.096 0.000 6.006
Ti Ge Mo
4 6 2
Direct
0.083 0.917 0.750
0.245 0.755 0.250
0.755 0.245 0.750
0.917 0.083 0.250
0.000 0.500 0.500
0.173 0.337 0.006
0.337 0.173 0.506
0.500 0.000 0.000
0.663 0.827 0.494
0.827 0.663 0.994
0.408 0.592 0.750
0.592 0.408 0.250
```

Largest 12 diffraction maxima, by angle, 15 to 90 degrees two-theta:
2theta  I_rel
16.96  4
21.98  3
34.71  100
49.74  35
50.08  34
61.79  6
62.37  17
73.22  7
73.34  4
83.43  15
83.91  9
84.02  5

---

The following is a computed PXRD pattern of BaCuNiCl6. It was derived from a cell relaxed with GGA-PBE, using CuKα.
Neutral-atom scattering factors, no anomalous dispersion.

Structure:
```
BaCuNiCl6
1.0
6.397 0.000 0.000
-3.199 5.540 0.000
0.000 0.000 6.641
Ba Cu Ni Cl
1 1 1 6
Direct
0.000 0.000 0.000
0.333 0.667 0.500
0.667 0.333 0.500
0.381 0.005 0.707
0.381 0.375 0.293
0.625 0.005 0.293
0.625 0.619 0.707
0.995 0.375 0.707
0.995 0.619 0.293
```

Largest 12 diffraction maxima, by angle, 15 to 90 degrees two-theta:
2theta  I_rel
20.88  100
27.89  15
31.03  24
35.10  20
39.10  59
44.05  10
45.41  26
49.35  20
52.95  11
60.90  10
61.99  13
64.69  10

---

The following is a computed PXRD pattern of CaFe2GeN. It was derived from a cell relaxed with GGA-PBE, using CuKα.
Neutral-atom scattering factors, no anomalous dispersion.

Structure:
```
CaFe2GeN
1.0
1.902 -5.281 0.000
1.902 5.281 0.000
0.000 0.000 6.851
Ca Fe Ge N
2 4 2 2
Direct
0.047 0.953 0.750
0.953 0.047 0.250
0.340 0.660 0.559
0.340 0.660 0.941
0.660 0.340 0.059
0.660 0.340 0.441
0.230 0.770 0.250
0.770 0.230 0.750
0.500 0.500 0.000
0.500 0.500 0.500
```

Largest 12 diffraction maxima, by angle, 15 to 90 degrees two-theta:
2theta  I_rel
16.79  73
34.72  49
36.30  100
36.47  48
37.19  91
43.16  25
43.26  38
43.89  27
47.21  88
47.82  56
53.53  33
66.41  33

---

The following is a computed PXRD pattern of SmSb. It was derived from a cell relaxed with GGA-PBE, using CuKα.
Neutral-atom scattering factors, no anomalous dispersion.

Structure:
```
SmSb
1.0
4.218 0.000 0.000
0.000 4.775 0.000
-2.096 0.000 5.958
Sm Sb
2 2
Direct
0.124 0.250 0.249
0.876 0.750 0.751
0.387 0.250 0.773
0.613 0.750 0.227
```

Largest 12 diffraction maxima, by angle, 15 to 90 degrees two-theta:
2theta  I_rel
29.23  100
30.00  48
36.32  72
37.68  27
42.89  19
47.80  18
48.89  25
58.39  16
61.91  18
62.89  11
67.03  19
67.13  12

---

The following is a computed PXRD pattern of PmY7Hg4. It was derived from a cell relaxed with GGA-PBE, using CuKα.
Neutral-atom scattering factors, no anomalous dispersion.

Structure:
```
PmY7Hg4
1.0
7.340 -2.846 0.000
7.340 2.846 0.000
-5.281 0.000 8.311
Pm Y Hg
1 7 4
Direct
0.000 0.000 0.000
0.066 0.066 0.405
0.209 0.209 0.883
0.270 0.270 0.320
0.500 0.500 0.000
0.730 0.730 0.680
0.791 0.791 0.117
0.934 0.934 0.595
0.312 0.312 0.662
0.452 0.452 0.270
0.548 0.548 0.730
0.688 0.688 0.338
```

Largest 12 diffraction maxima, by angle, 15 to 90 degrees two-theta:
2theta  I_rel
17.15  26
24.29  36
29.56  46
30.46  37
31.44  100
31.75  33
32.31  30
32.94  40
35.47  85
36.81  37
43.70  31
58.60  24

---

The following is a computed PXRD pattern of Hf3TaIn. It was derived from a cell relaxed with GGA-PBE, using CuKα.
Neutral-atom scattering factors, no anomalous dispersion.

Structure:
```
Hf3TaIn
1.0
5.769 -5.064 0.000
5.769 5.064 0.000
-4.011 0.000 7.368
Hf Ta In
12 4 4
Direct
0.027 0.713 0.866
0.044 0.319 0.542
0.233 0.379 0.938
0.287 0.973 0.634
0.319 0.044 0.042
0.379 0.233 0.438
0.621 0.767 0.562
0.681 0.956 0.958
0.713 0.027 0.366
0.767 0.621 0.062
0.956 0.681 0.458
0.973 0.287 0.134
0.252 0.573 0.314
0.427 0.748 0.186
0.573 0.252 0.814
0.748 0.427 0.686
0.067 0.933 0.250
0.377 0.623 0.750
0.623 0.377 0.250
0.933 0.067 0.750
```

Largest 12 diffraction maxima, by angle, 15 to 90 degrees two-theta:
2theta  I_rel
34.21  36
35.45  36
36.15  97
36.37  75
36.71  100
37.56  24
37.67  26
43.08  16
51.70  23
63.11  21
64.93  16
66.02  18

---

The following is a computed PXRD pattern of Pt2AuBr. It was derived from a cell relaxed with GGA-PBE, using CuKα.
Neutral-atom scattering factors, no anomalous dispersion.

Structure:
```
Pt2AuBr
1.0
3.274 0.000 0.000
0.000 3.274 0.000
0.000 0.000 7.210
Pt Au Br
2 1 1
Direct
0.000 0.000 0.000
0.500 0.500 0.188
0.000 0.000 0.413
0.500 0.500 0.738
```

Largest 12 diffraction maxima, by angle, 15 to 90 degrees two-theta:
2theta  I_rel
37.10  100
38.91  55
40.95  10
46.90  25
50.64  5
56.20  19
65.65  9
69.27  33
76.13  12
78.08  9
79.02  5
83.53  6

---

The following is a computed PXRD pattern of Ba5As2BrN. It was derived from a cell relaxed with GGA-PBE, using CuKα.
Neutral-atom scattering factors, no anomalous dispersion.

Structure:
```
Ba5As2BrN
1.0
-2.648 4.046 8.072
2.648 -4.046 8.072
2.648 4.046 -8.072
Ba As Br N
5 2 1 1
Direct
0.000 0.000 0.000
0.089 0.360 0.729
0.369 0.640 0.729
0.631 0.360 0.271
0.911 0.640 0.271
0.204 0.204 0.000
0.796 0.796 0.000
0.500 0.000 0.500
0.000 0.500 0.500
```

Largest 12 diffraction maxima, by angle, 15 to 90 degrees two-theta:
2theta  I_rel
23.57  72
28.30  100
31.30  70
32.46  58
33.85  40
44.80  15
46.77  45
48.58  22
51.23  14
56.41  14
57.21  16
57.33  20

---

The following is a computed PXRD pattern of RbUZnS4. It was derived from a cell relaxed with GGA-PBE, using CuKα.
Neutral-atom scattering factors, no anomalous dispersion.

Structure:
```
RbUZnS4
1.0
6.396 0.000 0.000
0.000 6.726 0.000
-0.898 0.000 8.606
Rb U Zn S
2 2 2 8
Direct
0.221 0.250 0.056
0.779 0.750 0.944
0.188 0.750 0.450
0.812 0.250 0.550
0.340 0.250 0.657
0.660 0.750 0.343
0.096 0.508 0.689
0.096 0.992 0.689
0.350 0.750 0.184
0.440 0.250 0.409
0.560 0.750 0.591
0.650 0.250 0.816
0.904 0.008 0.311
0.904 0.492 0.311
```

Largest 12 diffraction maxima, by angle, 15 to 90 degrees two-theta:
2theta  I_rel
16.73  39
21.12  82
22.51  92
24.56  51
26.51  81
33.80  100
35.59  76
38.98  31
39.28  35
43.00  36
44.97  35
59.59  30

---

- What is the formula in the eighth record?
  PmY7Hg4